# Rb4Fe2O5
Computed PXRD pattern, Cu Kα (weighted mean of Kα1 and Kα2). Input: a cell relaxed with PBE+U.
No peak broadening, texture or thermal motion is included.

Atomic structure:
```
22
Lattice="3.6211 -8.9527 0.0000 3.6211 8.9527 0.0000 -1.7183 0.0000 7.1676" Properties=species:S:1:pos:R:3 pbc="T T T"
Rb 2.3323 8.5848 5.3757
Rb 1.8883 3.2213 2.7717
Rb 2.3323 0.6244 5.3757
Rb 4.4946 3.2213 0.8121
Rb 1.0292 -3.2213 6.3555
Rb 3.1915 -0.6244 1.7919
Rb 3.6355 -3.2213 4.3959
Rb 3.1915 -8.5848 1.7919
Fe 2.3641 6.1857 0.6831
Fe 4.0189 6.1857 2.9007
Fe 1.5049 -6.1857 4.2669
Fe 3.1597 -6.1857 6.4844
O 1.8105 4.4764 0.0000
O 2.0742 6.3001 2.6264
O 1.9716 1.3835 0.2996
O 4.3088 6.3001 0.9574
O 1.1124 -1.3836 3.8833
O 0.9514 -4.4764 3.5838
O 4.4114 1.3836 3.2842
O 1.2150 -6.3001 6.2102
O 3.5522 -1.3835 6.8680
O 3.4496 -6.3002 4.5412
```

Top 12 peaks for 2θ from 10° to 90°, in order of rising 2θ:
2theta	d_spacing	I (rel.)
26.80	3.327	86
27.21	3.277	94
27.36	3.260	67
29.30	3.048	59
29.40	3.038	63
29.94	2.984	87
31.87	2.808	100
32.37	2.766	59
32.79	2.731	72
34.09	2.630	58
37.16	2.419	80
37.78	2.381	58